# 1
Structure and simulated XRD peak list of TiPHO5 (a cell relaxed with GGA-PBE; CuKα).
Lines closer than 0.1° are merged.

Structure:
a b c (Å): 7.461 7.211 7.499
angles (deg): 90.00 116.77 90.00
Space group P2_1 (No. 4)
One atom of each set of equivalent atoms:
Ti  0.027  0.000  0.282
Ti  0.469  0.004  0.720
P  0.249  0.862  0.000
P  0.252  0.618  0.503
H  0.176  0.302  0.074
H  0.295  0.254  0.957
O  0.082  0.739  0.843
O  0.087  0.740  0.343
O  0.153  0.986  0.101
O  0.159  0.492  0.604
O  0.246  0.362  0.005
O  0.247  0.077  0.501
O  0.343  0.995  0.904
O  0.349  0.496  0.402
O  0.413  0.743  0.664
O  0.415  0.738  0.154

Most intense lines, 10° ≤ 2θ ≤ 90°, in order of falling intensity:
2theta  intensity
25.86  100
28.05  86
18.13  29
18.59  23
57.93  18
24.69  17
34.62  14
26.83  13

# 2
Structure and simulated XRD peak list of TlP2H5O8 (a cell relaxed with GGA-PBE; CuKα).
Lines closer than 0.1° are merged.

Structure:
a b c (Å): 10.529 7.895 9.693
angles (deg): 90.00 99.89 90.00
Space group C2/c (No. 15)
One atom of each set of equivalent atoms:
Tl  0.000  0.000  0.000
P  0.182  0.439  0.191
H  0.000  0.302  0.250
H  0.163  0.465  0.474
H  0.185  0.276  0.822
O  0.080  0.296  0.175
O  0.155  0.424  0.572
O  0.184  0.144  0.823
O  0.189  0.464  0.829

Most intense lines, 10° ≤ 2θ ≤ 90°, in order of falling intensity:
2theta  intensity
24.56  100
14.10  96
28.18  94
23.05  66
22.52  61
22.18  49
32.45  41
29.36  33

# 3
Structure and simulated XRD peak list of TlP2HO7 (a cell relaxed with GGA-PBE; CuKα).
Lines closer than 0.1° are merged.

Structure:
a b c (Å): 7.394 9.108 10.127
angles (deg): 90.00 119.58 90.00
Space group P2_1/c (No. 14)
One atom of each set of equivalent atoms:
Tl  0.024  0.209  0.000
P  0.064  0.005  0.738
P  0.443  0.643  0.269
H  0.446  0.559  0.782
O  0.000  0.006  0.136
O  0.068  0.168  0.705
O  0.070  0.087  0.401
O  0.300  0.559  0.324
O  0.325  0.723  0.673
O  0.364  0.183  0.085
O  0.481  0.533  0.165

Most intense lines, 10° ≤ 2θ ≤ 90°, in order of falling intensity:
2theta  intensity
13.77  100
17.94  59
26.61  52
28.19  44
27.75  35
23.94  21
31.86  19
19.49  18

# 4
Structure and simulated XRD peak list of TlPH2O4 (a cell relaxed with GGA-PBE; CuKα).
Lines closer than 0.1° are merged.

Structure:
a b c (Å): 6.537 4.593 14.782
angles (deg): 90.00 91.82 90.00
Space group Pc (No. 7)
One atom of each set of equivalent atoms:
Tl  0.000  0.237  0.000
Tl  0.534  0.250  0.271
P  0.007  0.224  0.756
P  0.488  0.267  0.510
H  0.017  0.235  0.315
H  0.241  0.262  0.646
H  0.500  0.266  0.953
H  0.733  0.271  0.624
O  0.082  0.028  0.323
O  0.206  0.343  0.710
O  0.295  0.164  0.557
O  0.431  0.472  0.944
O  0.589  0.025  0.456
O  0.646  0.410  0.581
O  0.856  0.094  0.685
O  0.923  0.471  0.813

Most intense lines, 10° ≤ 2θ ≤ 90°, in order of falling intensity:
2theta  intensity
24.55  100
24.09  73
24.34  65
27.30  53
26.54  53
17.84  45
29.64  44
18.41  41